Diffraction record for V3H4O8. The X-ray diffraction stick pattern is simulated, not measured: it uses a crystal structure in Alexandria, relaxed with GGA+U and CuKα.

Structural model:
```
V3H4O8
1.0
7.757 -1.903 0.000
7.757 1.903 0.000
-2.759 0.000 6.842
V H O
3 4 8
Direct
0.000 0.000 0.000 V
0.185 0.185 0.847 V
0.815 0.815 0.153 V
0.128 0.128 0.359 H
0.265 0.265 0.623 H
0.735 0.735 0.377 H
0.872 0.872 0.641 H
0.072 0.072 0.828 O
0.108 0.108 0.215 O
0.200 0.200 0.610 O
0.288 0.288 0.092 O
0.712 0.712 0.908 O
0.800 0.800 0.390 O
0.892 0.892 0.785 O
0.928 0.928 0.172 O
```

The 12 most intense peaks (2θ from 10° to 80°), in order of rising 2θ:
- 12.30 deg, rel. 19.7
- 12.94 deg, rel. 100.0
- 14.14 deg, rel. 11.3
- 21.00 deg, rel. 15.7
- 23.24 deg, rel. 31.9
- 24.19 deg, rel. 64.7
- 28.50 deg, rel. 22.9
- 28.62 deg, rel. 37.3
- 38.00 deg, rel. 8.9
- 44.46 deg, rel. 8.7
- 44.71 deg, rel. 8.3
- 47.78 deg, rel. 14.4